Starting from a DFT-relaxed cell (GGA+U, Alexandria), the powder diffraction line list of LiCo2OF3 was simulated for Cu Kα (weighted mean of Kα1 and Kα2).
Neutral-atom scattering factors, no anomalous dispersion.

Most intense lines, 15° ≤ 2θ ≤ 90°, by intensity:
2θ/deg  I_rel  (hkl)
34.45  100.0  2 1 1
29.28  53.8  0 2 0
34.63  49.5  1 0 -3
55.27  32.2  2 3 -1
60.81  27.8  2 2 -4
60.64  26.7  0 4 0
29.37  26.0  1 1 2
60.93  25.1  2 2 4
51.91  20.1  3 1 2
31.08  18.2  2 0 -1

Structural model:
a b c (Å): 6.110 6.107 8.579
angles (deg): 90.00 90.14 90.00
Atoms (fractional coordinates):
Li 0.000 0.000 0.000
Li 0.235 0.235 0.757
Li 0.235 0.765 0.757
Li 0.483 0.000 0.990
Co 0.217 0.500 0.120
Co 0.222 0.000 0.362
Co 0.505 0.500 0.508
Co 0.732 0.500 0.874
Co 0.734 0.000 0.615
Co 0.766 0.244 0.258
Co 0.766 0.756 0.258
Co 0.973 0.500 0.497
O 0.728 0.267 0.493
O 0.728 0.733 0.493
O 0.974 0.500 0.258
O 0.976 0.000 0.233
F 0.000 0.000 0.757
F 0.240 0.237 0.987
F 0.240 0.763 0.987
F 0.241 0.265 0.511
F 0.241 0.735 0.511
F 0.459 0.500 0.752
F 0.470 0.000 0.757
F 0.498 0.500 0.246
F 0.499 0.000 0.235
F 0.731 0.236 0.001
F 0.731 0.764 0.001
F 0.999 0.500 0.745